[1]
# Er4CrS7
Calculated X-ray diffraction stick pattern, Cu Kα (λ = 1.5418 Å). Input: the PBE geometry in the Materials Project.
Neutral-atom scattering factors, no anomalous dispersion.

```
data_Er4CrS7
_cell_length_a 12.356
_cell_length_b 3.768
_cell_length_c 11.268
_cell_angle_alpha 90.00
_cell_angle_beta 105.49
_cell_angle_gamma 90.00
_symmetry_space_group_name_H-M 'C 1 m 1'
_symmetry_Int_Tables_number 8
_symmetry_space_group_name_Hall 'C -2y'
loop_
_atom_site_label
_atom_site_fract_x
_atom_site_fract_y
_atom_site_fract_z
_atom_site_occupancy
Er1 0.000 0.000 0.000 1
Er2 0.080 0.500 0.358 1
Er3 0.195 0.500 0.801 1
Er4 0.387 0.000 0.597 1
Cr1 0.309 0.500 0.219 1
S1 0.034 0.000 0.742 1
S2 0.163 0.500 0.024 1
S3 0.201 0.000 0.289 1
S4 0.230 0.500 0.579 1
S5 0.357 0.000 0.846 1
S6 0.423 0.000 0.147 1
S7 0.446 0.500 0.428 1
```

Most intense lines, 10° ≤ 2θ ≤ 90°, sorted by position:
hkl  two_theta  I_rel
2 0 2  24.97  100.0
2 0 -3  25.15  99.9
1 1 -2  28.67  49.1
4 0 -1  28.90  48.5
3 1 -1  32.27  47.6
3 1 0  32.77  51.3
3 1 -2  33.90  57.4
3 1 1  35.31  62.7
1 1 4  43.37  47.4
2 2 -3  55.18  46.8

[2]
# EuCr3
Calculated X-ray diffraction stick pattern, Cu Kα (λ = 1.5418 Å). Input: the PBE geometry in the Materials Project.
Neutral-atom scattering factors, no anomalous dispersion.

```
data_EuCr3
_cell_length_a 6.982
_cell_length_b 6.982
_cell_length_c 6.982
_cell_angle_alpha 90.00
_cell_angle_beta 90.00
_cell_angle_gamma 90.00
_symmetry_space_group_name_H-M 'F m -3 m'
_symmetry_Int_Tables_number 225
_symmetry_space_group_name_Hall '-F 4 2 3'
loop_
_atom_site_label
_atom_site_fract_x
_atom_site_fract_y
_atom_site_fract_z
_atom_site_occupancy
Eu1 0.000 0.000 0.000 1
Cr1 0.000 0.000 0.500 1
Cr2 0.250 0.250 0.250 1
```

Most intense lines, 10° ≤ 2θ ≤ 90°, sorted by position:
hkl  two_theta  I_rel
1 1 1  22.05  22.3
2 0 0  25.52  12.0
2 2 0  36.40  100.0
3 1 1  42.97  12.8
4 0 0  52.42  16.5
3 3 1  57.54  5.6
4 2 0  59.18  5.2
4 2 2  65.50  32.6
4 4 0  77.31  9.9
6 2 0  88.59  14.2

[3]
# Cr3Fe
Calculated X-ray diffraction stick pattern, Cu Kα (λ = 1.5418 Å). Input: the PBE geometry in the Materials Project.
Neutral-atom scattering factors, no anomalous dispersion.

```
data_Cr3Fe
_cell_length_a 3.573
_cell_length_b 3.573
_cell_length_c 3.573
_cell_angle_alpha 90.00
_cell_angle_beta 90.00
_cell_angle_gamma 90.00
_symmetry_space_group_name_H-M 'P m -3 m'
_symmetry_Int_Tables_number 221
_symmetry_space_group_name_Hall '-P 4 2 3'
loop_
_atom_site_label
_atom_site_fract_x
_atom_site_fract_y
_atom_site_fract_z
_atom_site_occupancy
Cr1 0.000 0.000 0.500 1
Fe1 0.500 0.500 0.500 1
```

Most intense lines, 10° ≤ 2θ ≤ 90°, sorted by position:
hkl  two_theta  I_rel
1 1 1  43.89  100.0
2 0 0  51.13  45.7
2 2 0  75.23  25.5

[4]
# Cr3Fe
Calculated X-ray diffraction stick pattern, Cu Kα (λ = 1.5418 Å). Input: the PBE geometry in the Materials Project.
Neutral-atom scattering factors, no anomalous dispersion.

```
data_Cr3Fe
_cell_length_a 5.706
_cell_length_b 5.706
_cell_length_c 5.706
_cell_angle_alpha 90.00
_cell_angle_beta 90.00
_cell_angle_gamma 90.00
_symmetry_space_group_name_H-M 'F m -3 m'
_symmetry_Int_Tables_number 225
_symmetry_space_group_name_Hall '-F 4 2 3'
loop_
_atom_site_label
_atom_site_fract_x
_atom_site_fract_y
_atom_site_fract_z
_atom_site_occupancy
Cr1 0.000 0.000 0.000 1
Cr2 0.250 0.250 0.250 1
Fe1 0.000 0.000 0.500 1
```

Most intense lines, 10° ≤ 2θ ≤ 90°, sorted by position:
hkl  two_theta  I_rel
2 2 0  44.94  100.0
4 0 0  65.43  14.4
4 2 2  82.90  27.7

[5]
# CrFe3
Calculated X-ray diffraction stick pattern, Cu Kα (λ = 1.5418 Å). Input: the PBE geometry in the Materials Project.
Neutral-atom scattering factors, no anomalous dispersion.

```
data_CrFe3
_cell_length_a 3.564
_cell_length_b 3.564
_cell_length_c 3.564
_cell_angle_alpha 90.00
_cell_angle_beta 90.00
_cell_angle_gamma 90.00
_symmetry_space_group_name_H-M 'P m -3 m'
_symmetry_Int_Tables_number 221
_symmetry_space_group_name_Hall '-P 4 2 3'
loop_
_atom_site_label
_atom_site_fract_x
_atom_site_fract_y
_atom_site_fract_z
_atom_site_occupancy
Cr1 0.000 0.000 0.000 1
Fe1 0.000 0.500 0.500 1
```

Most intense lines, 10° ≤ 2θ ≤ 90°, sorted by position:
hkl  two_theta  I_rel
1 1 1  44.01  100.0
2 0 0  51.27  46.0
2 2 0  75.44  26.0

[6]
# CrFe3
Calculated X-ray diffraction stick pattern, Cu Kα (λ = 1.5418 Å). Input: the PBE geometry in the Materials Project.
Neutral-atom scattering factors, no anomalous dispersion.

```
data_CrFe3
_cell_length_a 5.674
_cell_length_b 5.674
_cell_length_c 5.674
_cell_angle_alpha 90.00
_cell_angle_beta 90.00
_cell_angle_gamma 90.00
_symmetry_space_group_name_H-M 'F m -3 m'
_symmetry_Int_Tables_number 225
_symmetry_space_group_name_Hall '-F 4 2 3'
loop_
_atom_site_label
_atom_site_fract_x
_atom_site_fract_y
_atom_site_fract_z
_atom_site_occupancy
Cr1 0.000 0.000 0.000 1
Fe1 0.000 0.000 0.500 1
Fe2 0.250 0.250 0.250 1
```

Most intense lines, 10° ≤ 2θ ≤ 90°, sorted by position:
hkl  two_theta  I_rel
2 2 0  45.20  100.0
4 0 0  65.84  14.5
4 2 2  83.46  28.3

[7]
# Cr3Fe
Calculated X-ray diffraction stick pattern, Cu Kα (λ = 1.5418 Å). Input: the PBE geometry in the Materials Project.
Neutral-atom scattering factors, no anomalous dispersion.

```
data_Cr3Fe
_cell_length_a 3.506
_cell_length_b 3.506
_cell_length_c 7.413
_cell_angle_alpha 90.00
_cell_angle_beta 90.00
_cell_angle_gamma 90.00
_symmetry_space_group_name_H-M 'I 4/m m m'
_symmetry_Int_Tables_number 139
_symmetry_space_group_name_Hall '-I 4 2'
loop_
_atom_site_label
_atom_site_fract_x
_atom_site_fract_y
_atom_site_fract_z
_atom_site_occupancy
Cr1 0.000 0.000 0.000 1
Cr2 0.000 0.500 0.250 1
Fe1 0.000 0.000 0.500 1
```

Most intense lines, 10° ≤ 2θ ≤ 90°, sorted by position:
hkl  two_theta  I_rel
1 1 2  43.94  100.0
0 0 4  49.16  17.4
2 0 0  52.18  28.6
2 0 4  74.51  17.6
2 2 0  76.91  8.0
1 1 6  88.40  11.0

[8]
# CrGa3Fe2Se8
Calculated X-ray diffraction stick pattern, Cu Kα (λ = 1.5418 Å). Input: the PBE geometry in the Materials Project.
Neutral-atom scattering factors, no anomalous dispersion.

```
data_CrGa3Fe2Se8
_cell_length_a 6.720
_cell_length_b 3.838
_cell_length_c 13.292
_cell_angle_alpha 90.00
_cell_angle_beta 99.73
_cell_angle_gamma 90.00
_symmetry_space_group_name_H-M 'P 1 m 1'
_symmetry_Int_Tables_number 6
_symmetry_space_group_name_Hall 'P -2y'
loop_
_atom_site_label
_atom_site_fract_x
_atom_site_fract_y
_atom_site_fract_z
_atom_site_occupancy
Cr1 0.000 0.000 0.000 1
Ga1 0.234 0.000 0.705 1
Ga2 0.504 0.500 0.003 1
Ga3 0.741 0.500 0.705 1
Fe1 0.475 0.000 0.416 1
Fe2 0.974 0.500 0.415 1
Se1 0.035 0.500 0.596 1
Se2 0.118 0.000 0.344 1
Se3 0.363 0.000 0.081 1
Se4 0.443 0.500 0.815 1
Se5 0.533 0.000 0.598 1
Se6 0.619 0.500 0.343 1
Se7 0.864 0.500 0.079 1
Se8 0.941 0.000 0.814 1
```

Most intense lines, 10° ≤ 2θ ≤ 90°, sorted by position:
hkl  two_theta  I_rel
0 0 3  20.34  82.6
2 0 0  26.88  70.5
1 1 -1  27.17  79.6
2 0 -3  31.01  35.7
1 1 2  31.21  70.7
1 1 -3  32.46  48.0
3 1 -1  46.97  100.0
0 2 0  47.37  48.8
2 0 5  47.76  41.7
1 1 -6  47.88  83.4

Repeat the sixth record exactly.
# CrFe3
Calculated X-ray diffraction stick pattern, Cu Kα (λ = 1.5418 Å). Input: the PBE geometry in the Materials Project.
Neutral-atom scattering factors, no anomalous dispersion.

```
data_CrFe3
_cell_length_a 5.674
_cell_length_b 5.674
_cell_length_c 5.674
_cell_angle_alpha 90.00
_cell_angle_beta 90.00
_cell_angle_gamma 90.00
_symmetry_space_group_name_H-M 'F m -3 m'
_symmetry_Int_Tables_number 225
_symmetry_space_group_name_Hall '-F 4 2 3'
loop_
_atom_site_label
_atom_site_fract_x
_atom_site_fract_y
_atom_site_fract_z
_atom_site_occupancy
Cr1 0.000 0.000 0.000 1
Fe1 0.000 0.000 0.500 1
Fe2 0.250 0.250 0.250 1
```

Most intense lines, 10° ≤ 2θ ≤ 90°, sorted by position:
hkl  two_theta  I_rel
2 2 0  45.20  100.0
4 0 0  65.84  14.5
4 2 2  83.46  28.3